# Sr8Fe7CoO24
Calculated XRD peak list, λ = 1.5418 Å (Cu Kα). Input: a cell relaxed with GGA+U.

Structure:
```
Sr8Fe7CoO24
1.0
7.821 0.000 0.000
0.000 7.821 0.000
0.000 0.000 7.821
Sr Fe Co O
8 7 1 24
direct
0.250 0.250 0.250
0.250 0.250 0.750
0.250 0.750 0.250
0.250 0.750 0.750
0.750 0.250 0.250
0.750 0.250 0.750
0.750 0.750 0.250
0.750 0.750 0.750
0.000 0.000 0.000
0.000 0.000 0.500
0.000 0.500 0.000
0.000 0.500 0.500
0.500 0.000 0.000
0.500 0.000 0.500
0.500 0.500 0.000
0.500 0.500 0.500
0.000 0.000 0.249
0.000 0.000 0.751
0.000 0.249 0.000
0.000 0.252 0.500
0.000 0.500 0.252
0.000 0.500 0.748
0.000 0.748 0.500
0.000 0.751 0.000
0.249 0.000 0.000
0.252 0.000 0.500
0.252 0.500 0.000
0.258 0.500 0.500
0.500 0.000 0.252
0.500 0.000 0.748
0.500 0.252 0.000
0.500 0.258 0.500
0.500 0.500 0.258
0.500 0.500 0.742
0.500 0.742 0.500
0.500 0.748 0.000
0.742 0.500 0.500
0.748 0.000 0.500
0.748 0.500 0.000
0.751 0.000 0.000
```

Top 6 peaks for 15 to 90 degrees two-theta, by angle:
2theta	I_rel	index
32.4	100	2 2 0
39.9	13	2 2 2
46.4	39	4 0 0
57.8	38	4 2 2
67.8	22	4 4 0
77.1	16	6 2 0